Record 1
Calculated powder diffractogram of Li2TiMn2O5 for λ = 1.5418 Å (Cu Kα), from a structure optimized by DFT (GGA+U).
Neutral-atom scattering factors, no anomalous dispersion.

Peak list (10 most intense, 10° ≤ 2θ ≤ 80°, most intense first)
42.06°, intensity 1000, hkl 1 5 1; 41.33°, intensity 514, hkl 2 0 -2; 35.97°, intensity 317, hkl 1 5 -1; 21.16°, intensity 276, hkl 1 1 -1; 60.34°, intensity 273, hkl 1 5 -3; 60.53°, intensity 270, hkl 3 5 -1; 11.64°, intensity 223, hkl 0 2 0; 21.28°, intensity 217, hkl 0 2 1; 25.08°, intensity 181, hkl 1 3 0; 76.28°, intensity 175, hkl 0 0 4

Cell and atoms:
```
data_Li2TiMn2O5
_chemical_formula_sum 'Li8 Ti4 Mn8 O20'
_symmetry_space_group_name_H-M 'C 1 2 1'
_symmetry_Int_Tables_number 5
_cell_length_a 5.3096
_cell_length_b 15.2056
_cell_length_c 5.3301
_cell_angle_alpha 90.00
_cell_angle_beta 110.41
_cell_angle_gamma 90.00
loop_
_symmetry_equiv_pos_as_xyz
'x,y,z'
'-x,y,-z'
'x+1/2,y+1/2,z'
'-x+1/2,y+1/2,-z'
loop_
_atom_site_label
_atom_site_type_symbol
_atom_site_fract_x
_atom_site_fract_y
_atom_site_fract_z
Li1 Li 0.0000 0.0000 0.0000
Li2 Li 0.0000 0.0980 0.5000
Li3 Li 0.0000 0.2898 0.5000
Li4 Li 0.0000 0.5956 0.0000
Ti1 Ti 0.0000 0.1838 0.0000
Ti2 Ti 0.0000 0.4931 0.5000
Mn1 Mn 0.0000 0.3989 0.0000
Mn2 Mn 0.0000 0.6936 0.5000
Mn3 Mn 0.0000 0.7951 0.0000
Mn4 Mn 0.0000 0.8991 0.5000
O1 O 0.2204 0.4999 0.2784
O2 O 0.2237 0.1965 0.7766
O3 O 0.2406 0.0975 0.2418
O4 O 0.2410 0.2905 0.2395
O5 O 0.2412 0.4079 0.7370
```

Record 2
Calculated powder diffractogram of Mg2SbMoO6 for λ = 1.5418 Å (Cu Kα), from a structure optimized by DFT (GGA+U).
Neutral-atom scattering factors, no anomalous dispersion.

Peak list (10 most intense, 10° ≤ 2θ ≤ 80°, most intense first)
32.72°, intensity 1000, hkl 1 2 -1; 32.87°, intensity 672, hkl 1 2 1; 22.75°, intensity 458, hkl 0 2 0; 23.16°, intensity 427, hkl 1 0 -1; 23.41°, intensity 421, hkl 1 0 1; 33.55°, intensity 286, hkl 2 0 0; 59.33°, intensity 192, hkl 3 2 -1; 46.47°, intensity 177, hkl 0 4 0; 59.67°, intensity 172, hkl 3 2 1; 58.03°, intensity 171, hkl 0 4 2

Cell and atoms:
```
data_Mg2SbMoO6
_chemical_formula_sum 'Mg4 Sb2 Mo2 O12'
_symmetry_space_group_name_H-M 'P 1 21/m 1'
_symmetry_Int_Tables_number 11
_cell_length_a 5.3428
_cell_length_b 7.8161
_cell_length_c 5.4646
_cell_angle_alpha 90.00
_cell_angle_beta 90.59
_cell_angle_gamma 90.00
loop_
_symmetry_equiv_pos_as_xyz
'x,y,z'
'-x,-y,-z'
'-x,y+1/2,-z'
'x,-y+1/2,z'
loop_
_atom_site_label
_atom_site_type_symbol
_atom_site_fract_x
_atom_site_fract_y
_atom_site_fract_z
Mg1 Mg 0.0074 0.2500 0.4449
Mg2 Mg 0.4870 0.7500 0.0313
Sb1 Sb 0.5000 0.0000 0.5000
Mo1 Mo 0.0000 0.0000 0.0000
O1 O 0.1327 0.7500 0.9057
O2 O 0.1864 0.0706 0.6642
O3 O 0.3432 0.0714 0.1863
O4 O 0.3622 0.7500 0.4166
```

Record 3
Calculated powder diffractogram of Li9Co2O8 for λ = 1.5418 Å (Cu Kα), from a structure optimized by DFT (GGA+U).
Neutral-atom scattering factors, no anomalous dispersion.

Peak list (10 most intense, 10° ≤ 2θ ≤ 80°, most intense first)
17.30°, intensity 1000, hkl 0 1 1; 21.09°, intensity 884, hkl 1 1 -1; 21.39°, intensity 783, hkl 1 1 1; 25.52°, intensity 382, hkl 1 0 -2; 26.02°, intensity 351, hkl 1 0 2; 24.60°, intensity 328, hkl 2 0 0; 35.01°, intensity 294, hkl 0 2 2; 26.39°, intensity 291, hkl 0 2 0; 30.01°, intensity 252, hkl 2 1 -1; 30.45°, intensity 250, hkl 2 1 1

Cell and atoms:
```
data_Li9Co2O8
_chemical_formula_sum 'Li18 Co4 O16'
_symmetry_space_group_name_H-M 'P 1 2/m 1'
_symmetry_Int_Tables_number 10
_cell_length_a 7.2402
_cell_length_b 6.7553
_cell_length_c 7.8715
_cell_angle_alpha 90.00
_cell_angle_beta 91.32
_cell_angle_gamma 90.00
loop_
_symmetry_equiv_pos_as_xyz
'x,y,z'
'-x,-y,-z'
'-x,y,-z'
'x,-y,z'
loop_
_atom_site_label
_atom_site_type_symbol
_atom_site_fract_x
_atom_site_fract_y
_atom_site_fract_z
Li1 Li 0.0000 0.2342 0.0000
Li2 Li 0.0006 0.2609 0.6610
Li3 Li 0.2532 0.0000 0.2708
Li4 Li 0.2563 0.5000 0.4549
Li5 Li 0.2652 0.0000 0.9259
Li6 Li 0.4679 0.2613 0.8354
Li7 Li 0.5000 0.2346 0.5000
Co1 Co 0.2301 0.0000 0.6135
Co2 Co 0.2648 0.5000 0.1257
O1 O 0.0374 0.0000 0.7842
O2 O 0.0410 0.5000 0.2166
O3 O 0.2126 0.2316 0.4979
O4 O 0.2895 0.2624 0.0222
O5 O 0.4519 0.5000 0.2886
O6 O 0.4648 0.0000 0.7249
```

Record 4
Calculated powder diffractogram of Li5Mn4O8 for λ = 1.5418 Å (Cu Kα), from a structure optimized by DFT (GGA+U).
Neutral-atom scattering factors, no anomalous dispersion.

Peak list (10 most intense, 10° ≤ 2θ ≤ 80°, most intense first)
17.75°, intensity 1000, hkl 1 1 0; 36.79°, intensity 618, hkl 0 2 -2; 17.57°, intensity 376, hkl 0 0 2; 43.83°, intensity 365, hkl 2 0 -2; 43.98°, intensity 364, hkl 2 2 4; 35.60°, intensity 211, hkl 2 1 3; 31.47°, intensity 168, hkl 1 -1 2; 58.85°, intensity 168, hkl 2 -2 0; 35.73°, intensity 144, hkl 1 2 3; 58.96°, intensity 132, hkl 2 4 2

Cell and atoms:
```
data_Li5Mn4O8
_chemical_formula_sum 'Li10 Mn8 O16'
_symmetry_space_group_name_H-M 'P 1'
_symmetry_Int_Tables_number 1
_cell_length_a 5.8212
_cell_length_b 6.3578
_cell_length_c 10.5039
_cell_angle_alpha 81.65
_cell_angle_beta 74.08
_cell_angle_gamma 62.84
loop_
_symmetry_equiv_pos_as_xyz
'x,y,z'
loop_
_atom_site_label
_atom_site_type_symbol
_atom_site_fract_x
_atom_site_fract_y
_atom_site_fract_z
Li1 Li 0.0000 0.0000 0.0000
Li2 Li 0.9999 0.4995 0.0003
Li3 Li 0.2349 0.6823 0.8368
Li4 Li 0.2695 0.8266 0.6460
Li5 Li 0.4994 0.0000 0.5004
Li6 Li 0.4994 0.4991 0.5010
Li7 Li 0.5005 0.4993 0.0000
Li8 Li 0.7297 0.1733 0.3552
Li9 Li 0.7652 0.3162 0.1639
Li10 Li 0.9993 0.0000 0.5007
Mn1 Mn 0.9996 0.4998 0.5004
Mn2 Mn 0.2469 0.2611 0.7469
Mn3 Mn 0.2519 0.2490 0.2468
Mn4 Mn 0.2542 0.7395 0.2529
Mn5 Mn 0.4998 0.9997 0.0003
Mn6 Mn 0.7455 0.2597 0.7476
Mn7 Mn 0.7479 0.7499 0.7540
Mn8 Mn 0.7529 0.7380 0.2538
O1 O 0.1058 0.6399 0.6399
O2 O 0.1066 0.6299 0.1343
O3 O 0.1232 0.1501 0.6245
O4 O 0.1479 0.1179 0.1239
O5 O 0.3742 0.3549 0.8745
O6 O 0.3786 0.3713 0.3583
O7 O 0.3944 0.8582 0.3719
O8 O 0.3954 0.8646 0.8812
O9 O 0.6046 0.1339 0.1198
O10 O 0.6045 0.1413 0.6280
O11 O 0.6208 0.6282 0.6423
O12 O 0.6246 0.6440 0.1267
O13 O 0.8519 0.8808 0.8769
O14 O 0.8775 0.8492 0.3756
O15 O 0.8936 0.3600 0.3607
O16 O 0.8938 0.3694 0.8668
```

Record 5
Calculated powder diffractogram of CrO for λ = 1.5418 Å (Cu Kα), from a structure optimized by DFT (GGA+U).
Neutral-atom scattering factors, no anomalous dispersion.

Peak list (10 most intense, 10° ≤ 2θ ≤ 80°, most intense first)
32.73°, intensity 1000, hkl 0 3 1; 31.70°, intensity 948, hkl 1 2 0; 37.03°, intensity 677, hkl 1 4 0; 53.75°, intensity 631, hkl 1 6 1; 30.33°, intensity 533, hkl 0 2 1; 32.61°, intensity 474, hkl 0 6 0; 28.28°, intensity 454, hkl 0 0 1; 50.24°, intensity 405, hkl 1 5 1; 44.72°, intensity 341, hkl 1 6 0; 69.42°, intensity 325, hkl 1 3 2

Cell and atoms:
```
data_CrO
_chemical_formula_sum 'Cr6 O6'
_symmetry_space_group_name_H-M 'P m m 2'
_symmetry_Int_Tables_number 25
_cell_length_a 3.0047
_cell_length_b 16.4763
_cell_length_c 3.1557
_cell_angle_alpha 90.00
_cell_angle_beta 90.00
_cell_angle_gamma 90.00
loop_
_symmetry_equiv_pos_as_xyz
'x,y,z'
'-x,-y,z'
'-x,y,z'
'x,-y,z'
loop_
_atom_site_label
_atom_site_type_symbol
_atom_site_fract_x
_atom_site_fract_y
_atom_site_fract_z
Cr1 Cr 0.0000 0.0000 0.0000
Cr2 Cr 0.0000 0.5000 0.3268
Cr3 Cr 0.5000 0.1652 0.5321
Cr4 Cr 0.5000 0.3351 0.7553
O1 O 0.0000 0.0817 0.4973
O2 O 0.0000 0.2513 0.6077
O3 O 0.0000 0.4182 0.8271
```

Record 6
Calculated powder diffractogram of MnCo5O12 for λ = 1.5418 Å (Cu Kα), from a structure optimized by DFT (GGA+U).
Neutral-atom scattering factors, no anomalous dispersion.

Peak list (10 most intense, 10° ≤ 2θ ≤ 80°, most intense first)
18.72°, intensity 1000, hkl 0 0 2; 37.73°, intensity 297, hkl 1 3 -1; 41.33°, intensity 211, hkl 2 0 2; 46.73°, intensity 149, hkl 1 3 -3; 46.77°, intensity 148, hkl 1 3 3; 61.73°, intensity 145, hkl 1 3 5; 66.51°, intensity 69, hkl 3 3 -1; 66.54°, intensity 69, hkl 3 3 1; 36.52°, intensity 67, hkl 2 0 0; 53.64°, intensity 65, hkl 2 0 -4

Cell and atoms:
```
data_MnCo5O12
_chemical_formula_sum 'Mn2 Co10 O24'
_symmetry_space_group_name_H-M 'C 1 2/m 1'
_symmetry_Int_Tables_number 12
_cell_length_a 4.9211
_cell_length_b 8.5382
_cell_length_c 9.4827
_cell_angle_alpha 90.00
_cell_angle_beta 90.10
_cell_angle_gamma 90.00
loop_
_symmetry_equiv_pos_as_xyz
'x,y,z'
'-x,-y,-z'
'-x,y,-z'
'x,-y,z'
'x+1/2,y+1/2,z'
'-x+1/2,-y+1/2,-z'
'-x+1/2,y+1/2,-z'
'x+1/2,-y+1/2,z'
loop_
_atom_site_label
_atom_site_type_symbol
_atom_site_fract_x
_atom_site_fract_y
_atom_site_fract_z
Mn1 Mn 0.0000 0.0000 0.0000
Co1 Co 0.0000 0.1667 0.5000
Co2 Co 0.0000 0.3333 0.0000
Co3 Co 0.0000 0.5000 0.5000
O1 O 0.1609 0.5000 0.8995
O2 O 0.1669 0.0000 0.5985
O3 O 0.1669 0.3334 0.5985
O4 O 0.1689 0.1693 0.8995
```

Record 7
Calculated powder diffractogram of Li4V3Cr2Fe3O16 for λ = 1.5418 Å (Cu Kα), from a structure optimized by DFT (GGA+U).
Neutral-atom scattering factors, no anomalous dispersion.

Peak list (10 most intense, 10° ≤ 2θ ≤ 80°, most intense first)
18.51°, intensity 1000, hkl 0 0 2; 19.74°, intensity 738, hkl 1 0 1; 19.51°, intensity 548, hkl 1 0 -1; 62.74°, intensity 423, hkl 2 2 0; 36.39°, intensity 387, hkl 0 2 1; 40.09°, intensity 338, hkl -2 2 2; 45.59°, intensity 321, hkl 2 0 3; 19.61°, intensity 300, hkl 1 -1 1; 35.88°, intensity 293, hkl 1 1 2; 35.70°, intensity 289, hkl -2 1 2

Cell and atoms:
```
data_Li4V3Cr2Fe3O16
_chemical_formula_sum 'Li4 V3 Cr2 Fe3 O16'
_symmetry_space_group_name_H-M 'P 1'
_symmetry_Int_Tables_number 1
_cell_length_a 5.9077
_cell_length_b 5.9218
_cell_length_c 9.5897
_cell_angle_alpha 90.80
_cell_angle_beta 90.14
_cell_angle_gamma 119.86
loop_
_symmetry_equiv_pos_as_xyz
'x,y,z'
loop_
_atom_site_label
_atom_site_type_symbol
_atom_site_fract_x
_atom_site_fract_y
_atom_site_fract_z
Li1 Li 0.0000 0.0000 0.0000
Li2 Li 0.0022 0.9941 0.4996
Li3 Li 0.3424 0.6762 0.1016
Li4 Li 0.6687 0.3367 0.6023
V1 V 0.1616 0.8223 0.7856
V2 V 0.6591 0.8371 0.7820
V3 V 0.8328 0.6592 0.2840
Cr1 Cr 0.3327 0.6539 0.5119
Cr2 Cr 0.6694 0.3300 0.0118
Fe1 Fe 0.1745 0.3353 0.7827
Fe2 Fe 0.3409 0.1678 0.2818
Fe3 Fe 0.8360 0.1694 0.2816
O1 O 0.0434 0.5354 0.6582
O2 O 0.1516 0.8149 0.3907
O3 O 0.1624 0.3173 0.3980
O4 O 0.3277 0.1417 0.8936
O5 O 0.3397 0.6701 0.8951
O6 O 0.4811 0.5161 0.6560
O7 O 0.4942 0.9594 0.6577
O8 O 0.5259 0.0431 0.1544
O9 O 0.5357 0.4930 0.1578
O10 O 0.6707 0.8137 0.3910
O11 O 0.6820 0.3545 0.3932
O12 O 0.8291 0.6707 0.8892
O13 O 0.8361 0.1608 0.8947
O14 O 0.9648 0.4947 0.1573
O15 O 0.9928 0.9791 0.1859
O16 O 0.9961 0.9900 0.6854
```

Record 8
Calculated powder diffractogram of MoO2 for λ = 1.5418 Å (Cu Kα), from a structure optimized by DFT (GGA+U).
Neutral-atom scattering factors, no anomalous dispersion.

Peak list (10 most intense, 10° ≤ 2θ ≤ 80°, most intense first)
17.06°, intensity 1000, hkl 1 -1 0; 16.59°, intensity 586, hkl 0 0 1; 17.23°, intensity 450, hkl 1 0 -1; 39.44°, intensity 300, hkl 2 0 0; 39.54°, intensity 297, hkl 0 2 -2; 40.66°, intensity 273, hkl -2 2 2; 33.54°, intensity 268, hkl 0 0 2; 32.91°, intensity 211, hkl 1 1 -2; 32.58°, intensity 147, hkl 2 -1 0; 34.45°, intensity 126, hkl 2 -2 0

Cell and atoms:
```
data_MoO2
_chemical_formula_sum 'Mo4 O8'
_symmetry_space_group_name_H-M 'P -1'
_symmetry_Int_Tables_number 2
_cell_length_a 6.2900
_cell_length_b 6.3227
_cell_length_c 6.4067
_cell_angle_alpha 91.55
_cell_angle_beta 117.79
_cell_angle_gamma 119.47
loop_
_symmetry_equiv_pos_as_xyz
'x,y,z'
'-x,-y,-z'
loop_
_atom_site_label
_atom_site_type_symbol
_atom_site_fract_x
_atom_site_fract_y
_atom_site_fract_z
Mo1 Mo 0.0000 0.0000 0.0000
Mo2 Mo 0.0000 0.0000 0.5000
Mo3 Mo 0.5000 0.0000 0.0000
Mo4 Mo 0.5000 0.5000 0.0000
O1 O 0.0302 0.8075 0.7813
O2 O 0.0501 0.2413 0.7927
O3 O 0.4519 0.2222 0.1942
O4 O 0.4695 0.2298 0.7827
```

Record 9
Calculated powder diffractogram of Li9Mn2Co5O16 for λ = 1.5418 Å (Cu Kα), from a structure optimized by DFT (GGA+U).
Neutral-atom scattering factors, no anomalous dispersion.

Peak list (10 most intense, 10° ≤ 2θ ≤ 80°, most intense first)
18.31°, intensity 1000, hkl 0 1 1; 42.80°, intensity 287, hkl 1 1 5; 43.96°, intensity 268, hkl -2 1 1; 44.39°, intensity 254, hkl 1 2 -2; 35.61°, intensity 142, hkl 1 0 4; 63.73°, intensity 138, hkl 1 -3 1; 36.34°, intensity 137, hkl 2 0 0; 36.60°, intensity 117, hkl 1 1 -3; 63.43°, intensity 76, hkl 3 0 4; 62.63°, intensity 75, hkl -1 2 6

Cell and atoms:
```
data_Li9Mn2Co5O16
_chemical_formula_sum 'Li9 Mn2 Co5 O16'
_symmetry_space_group_name_H-M 'P 1'
_symmetry_Int_Tables_number 1
_cell_length_a 5.0239
_cell_length_b 5.0939
_cell_length_c 11.4779
_cell_angle_alpha 79.54
_cell_angle_beta 84.49
_cell_angle_gamma 80.53
loop_
_symmetry_equiv_pos_as_xyz
'x,y,z'
loop_
_atom_site_label
_atom_site_type_symbol
_atom_site_fract_x
_atom_site_fract_y
_atom_site_fract_z
Li1 Li 0.0000 0.0000 0.0000
Li2 Li 0.0009 0.5087 0.5192
Li3 Li 0.0126 0.7610 0.2594
Li4 Li 0.0179 0.2502 0.7698
Li5 Li 0.2505 0.6922 0.8233
Li6 Li 0.5053 0.3808 0.6458
Li7 Li 0.5076 0.1355 0.8861
Li8 Li 0.5097 0.8845 0.1314
Li9 Li 0.5192 0.6304 0.3886
Mn1 Mn 0.2587 0.9390 0.5783
Mn2 Mn 0.2637 0.1999 0.3265
Co1 Co 0.2606 0.4538 0.0658
Co2 Co 0.7472 0.7984 0.7097
Co3 Co 0.7576 0.5659 0.9481
Co4 Co 0.7627 0.0698 0.4505
Co5 Co 0.7669 0.3340 0.1947
O1 O 0.1112 0.3605 0.9286
O2 O 0.1304 0.8821 0.4226
O3 O 0.1373 0.6250 0.6588
O4 O 0.1485 0.1211 0.1815
O5 O 0.3772 0.0313 0.7150
O6 O 0.3832 0.5171 0.2370
O7 O 0.3955 0.2612 0.4740
O8 O 0.3957 0.7621 0.9857
O9 O 0.6204 0.7563 0.5398
O10 O 0.6312 0.0092 0.3025
O11 O 0.6366 0.2458 0.0465
O12 O 0.6462 0.4783 0.7862
O13 O 0.8634 0.8874 0.8586
O14 O 0.8819 0.6535 0.1157
O15 O 0.8933 0.1315 0.5958
O16 O 0.9042 0.3857 0.3598
```

Record 10
Calculated powder diffractogram of CsUCrO6 for λ = 1.5418 Å (Cu Kα), from a structure optimized by DFT (GGA+U).
Neutral-atom scattering factors, no anomalous dispersion.

Peak list (10 most intense, 10° ≤ 2θ ≤ 80°, most intense first)
24.34°, intensity 1000, hkl 2 0 0; 12.10°, intensity 510, hkl 1 0 0; 27.78°, intensity 329, hkl 1 1 -3; 28.01°, intensity 231, hkl 1 2 -2; 28.18°, intensity 213, hkl 0 1 3; 42.84°, intensity 200, hkl 3 2 0; 21.10°, intensity 188, hkl 1 1 -2; 25.99°, intensity 186, hkl 1 1 2; 32.47°, intensity 127, hkl 2 1 -3; 49.88°, intensity 111, hkl 4 0 0

Cell and atoms:
```
data_CsUCrO6
_chemical_formula_sum 'Cs4 U4 Cr4 O24'
_symmetry_space_group_name_H-M 'P 1 21/c 1'
_symmetry_Int_Tables_number 14
_cell_length_a 7.5913
_cell_length_b 8.4421
_cell_length_c 10.6393
_cell_angle_alpha 90.00
_cell_angle_beta 105.54
_cell_angle_gamma 90.00
loop_
_symmetry_equiv_pos_as_xyz
'x,y,z'
'-x,-y,-z'
'-x,y+1/2,-z+1/2'
'x,-y+1/2,z+1/2'
loop_
_atom_site_label
_atom_site_type_symbol
_atom_site_fract_x
_atom_site_fract_y
_atom_site_fract_z
Cs1 Cs 0.0377 0.2384 0.3671
U1 U 0.4894 0.0176 0.1772
Cr1 Cr 0.3968 0.6434 0.9433
O1 O 0.1795 0.6330 0.9281
O2 O 0.2412 0.0544 0.1224
O3 O 0.2634 0.0196 0.7629
O4 O 0.4352 0.7112 0.7878
O5 O 0.4672 0.0596 0.3946
O6 O 0.4742 0.6569 0.5066
```